Record 1
Starting from a DFT-relaxed cell (GGA-PBE, Alexandria), the X-ray diffraction stick pattern of Pm2HfSi3 was calculated for copper Kα.

Most intense lines, 15° ≤ 2θ ≤ 90°, by angle:
- 3.836 Å, 2θ 23.19, I 20.4, hkl 3 1 0
- 3.281 Å, 2θ 27.18, I 61.7, hkl 0 2 1
- 3.064 Å, 2θ 29.14, I 100.0, hkl 3 1 1
- 2.546 Å, 2θ 35.24, I 21.8, hkl 0 0 2
- 2.448 Å, 2θ 36.72, I 20.9, hkl 1 3 1
- 2.379 Å, 2θ 37.81, I 26.9, hkl 3 3 0
- 2.144 Å, 2θ 42.14, I 18.0, hkl 6 0 0
- 2.122 Å, 2θ 42.62, I 23.0, hkl 3 1 2
- 1.795 Å, 2θ 50.87, I 16.1, hkl 6 2 1
- 1.640 Å, 2θ 56.07, I 13.4, hkl 6 0 2

Structure:
```
data_Pm2HfSi3
_cell_length_a 12.8663
_cell_length_b 8.5783
_cell_length_c 5.0929
_cell_angle_alpha 90.00
_cell_angle_beta 90.00
_cell_angle_gamma 90.00
_symmetry_space_group_name_H-M 'C m c m'
_symmetry_Int_Tables_number 63
_symmetry_space_group_name_Hall '-C 2c 2'
loop_
_atom_site_label
_atom_site_type_symbol
_atom_site_fract_x
_atom_site_fract_y
_atom_site_fract_z
_atom_site_occupancy
Pm1 Pm 0.1476 0.1773 0.2500 1
Hf1 Hf 0.0000 0.3981 0.7500 1
Si1 Si 0.0000 0.0914 0.7500 1
Si2 Si 0.1743 0.5000 0.0000 1
```

=====

Record 2
Starting from a DFT-relaxed cell (GGA-PBE, Alexandria), the X-ray diffraction stick pattern of La3TlHg2 was calculated for copper Kα.

Most intense lines, 15° ≤ 2θ ≤ 90°, by angle:
- 2.796 Å, 2θ 32.01, I 100.0, hkl 1 0 3
- 2.757 Å, 2θ 32.48, I 48.5, hkl 1 1 0
- 2.006 Å, 2θ 45.21, I 9.5, hkl 0 0 6
- 1.949 Å, 2θ 46.59, I 18.0, hkl 2 0 0
- 1.622 Å, 2θ 56.76, I 19.5, hkl 1 1 6
- 1.599 Å, 2θ 57.65, I 38.0, hkl 2 1 3
- 1.398 Å, 2θ 66.94, I 11.9, hkl 2 0 6
- 1.265 Å, 2θ 75.10, I 8.3, hkl 1 0 9
- 1.236 Å, 2θ 77.16, I 8.2, hkl 3 0 3
- 1.233 Å, 2θ 77.41, I 8.2, hkl 3 1 0

Structure:
```
data_La3TlHg2
_cell_length_a 3.8986
_cell_length_b 3.8986
_cell_length_c 12.0349
_cell_angle_alpha 90.00
_cell_angle_beta 90.00
_cell_angle_gamma 90.00
_symmetry_space_group_name_H-M 'P 4/m m m'
_symmetry_Int_Tables_number 123
_symmetry_space_group_name_Hall '-P 4 2'
loop_
_atom_site_label
_atom_site_type_symbol
_atom_site_fract_x
_atom_site_fract_y
_atom_site_fract_z
_atom_site_occupancy
La1 La 0.0000 0.0000 0.0000 1
La2 La 0.0000 0.0000 0.3265 1
Tl1 Tl 0.5000 0.5000 0.5000 1
Hg1 Hg 0.5000 0.5000 0.1622 1
```

=====

Record 3
Starting from a DFT-relaxed cell (GGA-PBE, Alexandria), the X-ray diffraction stick pattern of Tm6Tl5Zn was calculated for copper Kα.

Most intense lines, 15° ≤ 2θ ≤ 90°, by angle:
- 2.642 Å, 2θ 33.93, I 51.1, hkl 2 0 -1
- 2.622 Å, 2θ 34.20, I 100.0, hkl 1 2 1
- 1.872 Å, 2θ 48.63, I 9.4, hkl 2 0 2
- 1.864 Å, 2θ 48.85, I 9.2, hkl 2 0 -4
- 1.840 Å, 2θ 49.54, I 8.8, hkl 0 4 0
- 1.523 Å, 2θ 60.81, I 19.4, hkl 3 2 0
- 1.520 Å, 2θ 60.96, I 19.0, hkl 3 2 -3
- 1.510 Å, 2θ 61.40, I 18.6, hkl 2 4 -1
- 1.321 Å, 2θ 71.40, I 5.9, hkl 4 0 -2
- 1.165 Å, 2θ 82.82, I 8.0, hkl 1 6 1

Structure:
```
data_Tm6Tl5Zn
_cell_length_a 5.2834
_cell_length_b 7.3600
_cell_length_c 8.3456
_cell_angle_alpha 90.00
_cell_angle_beta 108.21
_cell_angle_gamma 90.00
_symmetry_space_group_name_H-M 'P 1 2/m 1'
_symmetry_Int_Tables_number 10
_symmetry_space_group_name_Hall '-P 2y'
loop_
_atom_site_label
_atom_site_type_symbol
_atom_site_fract_x
_atom_site_fract_y
_atom_site_fract_z
_atom_site_occupancy
Tm1 Tm 0.0000 0.2425 0.0000 1
Tm2 Tm 0.3376 0.2446 0.6751 1
Tl1 Tl 0.1657 0.0000 0.3309 1
Tl2 Tl 0.1685 0.5000 0.3375 1
Tl3 Tl 0.5000 0.5000 0.0000 1
Zn1 Zn 0.5000 0.0000 0.0000 1
```

=====

Record 4
Starting from a DFT-relaxed cell (GGA-PBE, Alexandria), the X-ray diffraction stick pattern of Ac6InHg2 was calculated for copper Kα.

Most intense lines, 15° ≤ 2θ ≤ 90°, by angle:
- 3.216 Å, 2θ 27.74, I 89.7, hkl 2 2 2
- 3.029 Å, 2θ 29.49, I 75.1, hkl 2 1 3
- 2.976 Å, 2θ 30.03, I 67.0, hkl 1 3 2
- 2.935 Å, 2θ 30.45, I 100.0, hkl 2 3 1
- 2.720 Å, 2θ 32.93, I 59.1, hkl 4 0 0
- 2.646 Å, 2θ 33.88, I 22.8, hkl 3 0 3
- 2.563 Å, 2θ 35.01, I 30.5, hkl 0 2 4
- 1.866 Å, 2θ 48.81, I 17.5, hkl 4 2 4
- 1.801 Å, 2θ 50.69, I 20.2, hkl 2 5 3
- 1.780 Å, 2θ 51.31, I 33.8, hkl 5 3 2

Structure:
```
data_Ac6InHg2
_cell_length_a 10.8858
_cell_length_b 10.9737
_cell_length_c 11.5967
_cell_angle_alpha 90.00
_cell_angle_beta 90.00
_cell_angle_gamma 90.00
_symmetry_space_group_name_H-M 'I m m m'
_symmetry_Int_Tables_number 71
_symmetry_space_group_name_Hall '-I 2 2'
loop_
_atom_site_label
_atom_site_type_symbol
_atom_site_fract_x
_atom_site_fract_y
_atom_site_fract_z
_atom_site_occupancy
Ac1 Ac 0.0000 0.1946 0.2466 1
Ac2 Ac 0.2124 0.5000 0.1730 1
Ac3 Ac 0.2272 0.3209 0.5000 1
In1 In 0.0000 0.0000 0.0000 1
In2 In 0.0000 0.0000 0.5000 1
Hg1 Hg 0.0000 0.3476 0.0000 1
Hg2 Hg 0.0000 0.5000 0.3699 1
```

=====

Record 5
Starting from a DFT-relaxed cell (GGA-PBE, Alexandria), the X-ray diffraction stick pattern of CaH4NCl3 was calculated for copper Kα.

Most intense lines, 15° ≤ 2θ ≤ 90°, by angle:
- 3.143 Å, 2θ 28.40, I 32.3, hkl 2 1 0
- 3.078 Å, 2θ 29.01, I 100.0, hkl 2 1 1
- 2.972 Å, 2θ 30.07, I 36.1, hkl 2 0 4
- 2.909 Å, 2θ 30.73, I 95.5, hkl 1 0 5
- 2.464 Å, 2θ 36.47, I 13.8, hkl 1 0 6
- 2.394 Å, 2θ 37.58, I 21.7, hkl 3 1 2
- 2.128 Å, 2θ 42.47, I 13.6, hkl 1 1 6
- 2.107 Å, 2θ 42.93, I 56.2, hkl 0 2 0
- 1.908 Å, 2θ 47.66, I 17.7, hkl 4 1 3
- 1.902 Å, 2θ 47.82, I 25.7, hkl 1 1 7

Structure:
```
data_CaH4NCl3
_cell_length_a 9.4259
_cell_length_b 4.2170
_cell_length_c 15.3138
_cell_angle_alpha 90.00
_cell_angle_beta 90.00
_cell_angle_gamma 90.00
_symmetry_space_group_name_H-M 'P n m a'
_symmetry_Int_Tables_number 62
_symmetry_space_group_name_Hall '-P 2ac 2n'
loop_
_atom_site_label
_atom_site_type_symbol
_atom_site_fract_x
_atom_site_fract_y
_atom_site_fract_z
_atom_site_occupancy
Ca1 Ca 0.1666 0.2500 0.0607 1
H1 H 0.0118 0.7500 0.3802 1
H2 H 0.0443 0.2500 0.7238 1
H3 H 0.1065 0.5531 0.3003 1
N1 N 0.0444 0.7500 0.3156 1
Cl1 Cl 0.0216 0.2500 0.9028 1
Cl2 Cl 0.1651 0.2500 0.5086 1
Cl3 Cl 0.2426 0.7500 0.7279 1
```

=====

Record 6
Starting from a DFT-relaxed cell (GGA-PBE, Alexandria), the X-ray diffraction stick pattern of Tl3HgPd4 was calculated for copper Kα.

Most intense lines, 15° ≤ 2θ ≤ 90°, by angle:
- 2.935 Å, 2θ 30.45, I 100.0, hkl 1 2 1
- 2.877 Å, 2θ 31.09, I 14.0, hkl 0 2 2
- 2.700 Å, 2θ 33.17, I 18.0, hkl 0 1 3
- 2.661 Å, 2θ 33.69, I 23.2, hkl 2 0 0
- 2.535 Å, 2θ 35.41, I 47.1, hkl 1 0 3
- 2.415 Å, 2θ 37.23, I 21.3, hkl 2 1 1
- 2.040 Å, 2θ 44.42, I 19.8, hkl 1 3 2
- 1.953 Å, 2θ 46.49, I 28.7, hkl 2 2 2
- 1.886 Å, 2θ 48.26, I 17.6, hkl 0 2 4
- 1.584 Å, 2θ 58.25, I 16.3, hkl 3 2 1

Structure:
```
data_Tl3HgPd4
_cell_length_a 5.3210
_cell_length_b 7.7048
_cell_length_c 8.6501
_cell_angle_alpha 90.00
_cell_angle_beta 90.00
_cell_angle_gamma 90.00
_symmetry_space_group_name_H-M 'I m m 2'
_symmetry_Int_Tables_number 44
_symmetry_space_group_name_Hall 'I 2 -2'
loop_
_atom_site_label
_atom_site_type_symbol
_atom_site_fract_x
_atom_site_fract_y
_atom_site_fract_z
_atom_site_occupancy
Tl1 Tl 0.0000 0.0000 0.0000 1
Tl2 Tl 0.0000 0.2258 0.3370 1
Hg1 Hg 0.0000 0.5000 0.9219 1
Pd1 Pd 0.0000 0.3195 0.6459 1
Pd2 Pd 0.2446 0.0000 0.6945 1
```

=====

Copy entry 6 word for word.
Starting from a DFT-relaxed cell (GGA-PBE, Alexandria), the X-ray diffraction stick pattern of Tl3HgPd4 was calculated for copper Kα.

Most intense lines, 15° ≤ 2θ ≤ 90°, by angle:
- 2.935 Å, 2θ 30.45, I 100.0, hkl 1 2 1
- 2.877 Å, 2θ 31.09, I 14.0, hkl 0 2 2
- 2.700 Å, 2θ 33.17, I 18.0, hkl 0 1 3
- 2.661 Å, 2θ 33.69, I 23.2, hkl 2 0 0
- 2.535 Å, 2θ 35.41, I 47.1, hkl 1 0 3
- 2.415 Å, 2θ 37.23, I 21.3, hkl 2 1 1
- 2.040 Å, 2θ 44.42, I 19.8, hkl 1 3 2
- 1.953 Å, 2θ 46.49, I 28.7, hkl 2 2 2
- 1.886 Å, 2θ 48.26, I 17.6, hkl 0 2 4
- 1.584 Å, 2θ 58.25, I 16.3, hkl 3 2 1

Structure:
```
data_Tl3HgPd4
_cell_length_a 5.3210
_cell_length_b 7.7048
_cell_length_c 8.6501
_cell_angle_alpha 90.00
_cell_angle_beta 90.00
_cell_angle_gamma 90.00
_symmetry_space_group_name_H-M 'I m m 2'
_symmetry_Int_Tables_number 44
_symmetry_space_group_name_Hall 'I 2 -2'
loop_
_atom_site_label
_atom_site_type_symbol
_atom_site_fract_x
_atom_site_fract_y
_atom_site_fract_z
_atom_site_occupancy
Tl1 Tl 0.0000 0.0000 0.0000 1
Tl2 Tl 0.0000 0.2258 0.3370 1
Hg1 Hg 0.0000 0.5000 0.9219 1
Pd1 Pd 0.0000 0.3195 0.6459 1
Pd2 Pd 0.2446 0.0000 0.6945 1
```